Structure and calculated powder XRD pattern of Ti7GaPd2 (a DFT-relaxed cell (GGA-PBE, Alexandria); Cu Kα (weighted mean of Kα1 and Kα2)).
Kinematic intensities with the Lorentz-polarization factor, no thermal factor.

Largest 8 diffraction maxima, by angle, 10° ≤ 2θ ≤ 90°:
two_theta	I/Imax
27.35	804
33.66	764
39.07	1000
48.35	335
56.44	638
67.35	267
70.78	206
77.44	165

Structural model:
Cell lengths 6.521, 6.521, 6.521 Å; angles 60.00, 60.00, 60.00 degrees
Atoms (fractional coordinates):
Ti 0.000 0.000 0.000
Ti 0.246 0.246 0.754
Ti 0.246 0.754 0.246
Ti 0.246 0.754 0.754
Ti 0.754 0.246 0.246
Ti 0.754 0.246 0.754
Ti 0.754 0.754 0.246
Ga 0.500 0.500 0.500
Pd 0.250 0.250 0.250
Pd 0.750 0.750 0.750

Structure and calculated powder XRD pattern of Ti5GaPd4 (a DFT-relaxed cell (GGA-PBE, Alexandria); Cu Kα (weighted mean of Kα1 and Kα2)).
Kinematic intensities with the Lorentz-polarization factor, no thermal factor.

Largest 8 diffraction maxima, by angle, 10° ≤ 2θ ≤ 90°:
two_theta	I/Imax
22.92	259
39.08	1000
39.61	965
45.21	650
46.83	292
67.12	377
78.98	233
80.00	224

Structural model:
Cell lengths 2.865, 3.880, 14.045 Å; angles 90.00, 90.00, 90.00 degrees
Atoms (fractional coordinates):
Ti 0.000 0.000 0.000
Ti 0.000 0.000 0.200
Ti 0.000 0.000 0.401
Ti 0.000 0.000 0.599
Ti 0.000 0.000 0.800
Ga 0.500 0.500 0.500
Pd 0.500 0.500 0.100
Pd 0.500 0.500 0.301
Pd 0.500 0.500 0.699
Pd 0.500 0.500 0.900

Structure and calculated powder XRD pattern of Ti5Ga2Pd2 (a DFT-relaxed cell (GGA-PBE, Alexandria); Cu Kα (weighted mean of Kα1 and Kα2)).
Kinematic intensities with the Lorentz-polarization factor, no thermal factor.

Largest 8 diffraction maxima, by angle, 10° ≤ 2θ ≤ 90°:
two_theta	I/Imax
25.10	286
39.72	880
39.83	1000
52.09	87
57.52	281
72.27	430
81.15	201
85.88	98

Structural model:
Cell lengths 4.527, 4.527, 8.348 Å; angles 90.00, 90.00, 120.00 degrees
Atoms (fractional coordinates):
Ti 0.000 0.000 0.000
Ti 0.333 0.667 0.174
Ti 0.333 0.667 0.826
Ti 0.667 0.333 0.312
Ti 0.667 0.333 0.688
Ga 0.000 0.000 0.337
Ga 0.000 0.000 0.663
Pd 0.333 0.667 0.500
Pd 0.667 0.333 0.000